Entry 1:
Theoretical PXRD pattern of Tb5Pm5Sb6 for a wavelength of 1.5418 Å, from the PBE geometry in Alexandria.

Atomic structure:
a = 6.3927 Å, b = 15.9154 Å, c = 9.1400 Å
α = 90.00°, β = 90.00°, γ = 90.00°
Space group Amm2 (No. 38)
Unique sites:
1 Tb 0.0000 0.0000 0.0000 (multiplicity 2)
2 Tb 0.0000 0.1248 0.3691 (multiplicity 4)
3 Tb 0.5000 0.1246 0.1210 (multiplicity 4)
4 Pm 0.2499 0.1660 0.7446 (multiplicity 8)
5 Pm 0.5000 0.0000 0.4909 (multiplicity 2)
6 Sb 0.0000 0.0000 0.6290 (multiplicity 2)
7 Sb 0.0000 0.1921 0.0528 (multiplicity 4)
8 Sb 0.5000 0.0000 0.8631 (multiplicity 2)
9 Sb 0.5000 0.1940 0.4364 (multiplicity 4)

Top 10 peaks for 2θ = 10–90°, by angle:
h k l, 2θ (°), Rel. int.
2 0 0, 27.91, 22
0 4 2, 29.75, 25
2 1 1, 30.14, 23
1 4 2, 32.95, 83
1 1 3, 33.05, 39
0 6 0, 33.79, 22
0 3 3, 33.93, 44
2 3 1, 34.20, 100
2 6 2, 48.87, 18
3 4 2, 52.69, 36

=====

Entry 2:
Theoretical PXRD pattern of Tb4Pm3Sb4 for a wavelength of 1.5418 Å, from the PBE geometry in Alexandria.

Atomic structure:
a = 11.3164 Å, b = 4.3409 Å, c = 13.8202 Å
α = 90.00°, β = 90.00°, γ = 90.00°
Space group Amm2 (No. 38)
Unique sites:
1 Tb 0.0000 0.0000 0.0000 (multiplicity 2)
2 Tb 0.2446 0.0000 0.4713 (multiplicity 4)
3 Tb 0.5000 0.0000 0.0641 (multiplicity 2)
4 Pm 0.0000 0.0000 0.7016 (multiplicity 2)
5 Pm 0.3509 0.0000 0.7699 (multiplicity 4)
6 Sb 0.0000 0.0000 0.3567 (multiplicity 2)
7 Sb 0.2191 0.0000 0.1355 (multiplicity 4)
8 Sb 0.5000 0.0000 0.3936 (multiplicity 2)

Top 10 peaks for 2θ = 10–90°, by angle:
h k l, 2θ (°), Rel. int.
3 0 2, 26.94, 25
0 1 3, 28.25, 71
1 1 3, 29.35, 20
4 0 0, 31.63, 25
3 1 1, 32.10, 34
2 1 3, 32.46, 100
4 0 2, 34.25, 19
4 1 1, 38.54, 20
0 2 0, 41.61, 32
2 0 6, 42.37, 24

=====

Entry 3:
Theoretical PXRD pattern of Tb2Pm5Sb4 for a wavelength of 1.5418 Å, from the PBE geometry in Alexandria.

Atomic structure:
a = 25.9386 Å, b = 4.0713 Å, c = 7.2065 Å
α = 90.00°, β = 90.86°, γ = 90.00°
Space group C2/m (No. 12)
Unique sites:
1 Tb 0.0908 0.0000 0.1848 (multiplicity 4)
2 Pm 0.0000 0.5000 0.5000 (multiplicity 2)
3 Pm 0.1417 0.0000 0.6833 (multiplicity 4)
4 Pm 0.2332 0.0000 0.2591 (multiplicity 4)
5 Sb 0.0296 0.0000 0.8093 (multiplicity 4)
6 Sb 0.1697 0.5000 0.0068 (multiplicity 4)

Top 10 peaks for 2θ = 10–90°, by angle:
h k l, 2θ (°), Rel. int.
1 1 0, 22.10, 46
3 1 1, 27.26, 83
8 0 -1, 30.05, 90
8 0 1, 30.42, 28
6 0 2, 32.60, 52
1 1 2, 33.41, 100
7 1 -1, 34.90, 40
9 1 1, 40.49, 47
0 2 0, 44.51, 41
8 2 -1, 54.64, 33

=====

Entry 4:
Theoretical PXRD pattern of Tb2PmUSb4 for a wavelength of 1.5418 Å, from the PBE geometry in Alexandria.

Atomic structure:
a = 6.2496 Å, b = 6.2496 Å, c = 12.4896 Å
α = 90.00°, β = 90.00°, γ = 90.00°
Space group I-4m2 (No. 119)
Unique sites:
1 Tb 0.0000 0.0000 0.0000 (multiplicity 2)
2 Tb 0.0000 0.5000 0.2500 (multiplicity 2)
3 Pm 0.0000 0.5000 0.7500 (multiplicity 2)
4 U 0.0000 0.0000 0.5000 (multiplicity 2)
5 Sb 0.0000 0.0000 0.2523 (multiplicity 4)
6 Sb 0.0000 0.5000 0.0021 (multiplicity 4)

Top 10 peaks for 2θ = 10–90°, by angle:
h k l, 2θ (°), Rel. int.
1 0 1, 15.86, 2
1 1 2, 24.68, 6
2 0 0, 28.57, 100
2 2 0, 40.85, 77
1 1 6, 48.31, 3
2 2 4, 50.61, 27
4 0 0, 59.15, 13
4 2 0, 66.98, 35
4 2 4, 74.38, 26
4 4 0, 88.53, 9

=====

Entry 5:
Theoretical PXRD pattern of PmTcSb3 for a wavelength of 1.5418 Å, from the PBE geometry in Alexandria.

Atomic structure:
a = 12.8089 Å, b = 6.2288 Å, c = 6.1807 Å
α = 90.00°, β = 90.00°, γ = 90.00°
Space group Pbcm (No. 57)
Unique sites:
1 Pm 0.1938 0.0063 0.2500 (multiplicity 4)
2 Tc 0.3980 0.2500 0.0000 (multiplicity 4)
3 Sb 0.0011 0.2500 0.0000 (multiplicity 4)
4 Sb 0.2814 0.5156 0.2500 (multiplicity 4)
5 Sb 0.4406 0.6011 0.7500 (multiplicity 4)

Top 10 peaks for 2θ = 10–90°, by angle:
h k l, 2θ (°), Rel. int.
2 2 0, 31.95, 69
2 0 2, 32.16, 50
4 1 1, 34.68, 100
5 0 0, 35.03, 20
2 1 2, 35.32, 20
3 2 0, 35.68, 23
3 0 2, 35.87, 31
0 2 2, 41.15, 79
4 1 3, 55.01, 26
2 4 2, 69.12, 23

=====

Entry 6:
Theoretical PXRD pattern of Pm3Sb2Te3 for a wavelength of 1.5418 Å, from the PBE geometry in Alexandria.

Atomic structure:
a = 9.5983 Å, b = 9.5983 Å, c = 6.1184 Å
α = 90.00°, β = 90.00°, γ = 120.00°
Space group P6_3/mcm (No. 193)
Unique sites:
1 Pm 0.0000 0.3778 0.2500 (multiplicity 6)
2 Sb 0.3333 0.6667 0.0000 (multiplicity 4)
3 Te 0.0000 0.2699 0.7500 (multiplicity 6)

Top 10 peaks for 2θ = 10–90°, by angle:
h k l, 2θ (°), Rel. int.
1 0 0, 10.64, 18
2 1 0, 28.41, 20
0 0 2, 29.19, 22
2 1 1, 32.02, 84
3 0 0, 32.31, 100
1 1 2, 34.78, 92
3 1 1, 41.87, 23
2 2 2, 48.20, 26
2 1 3, 53.57, 19
3 0 4, 70.30, 21

=====

Entry 7:
Theoretical PXRD pattern of Pm3SbTe3 for a wavelength of 1.5418 Å, from the PBE geometry in Alexandria.

Atomic structure:
a = 9.3052 Å, b = 9.3052 Å, c = 19.0628 Å
α = 90.00°, β = 90.00°, γ = 120.00°
Space group R-3 (No. 148, hexagonal axes)
Unique sites:
1 Pm 0.0114 0.3898 0.4212 (multiplicity 18)
2 Sb 0.0000 0.0000 0.1617 (multiplicity 6)
3 Te 0.0097 0.2725 0.5912 (multiplicity 18)

Top 10 peaks for 2θ = 10–90°, by angle:
h k l, 2θ (°), Rel. int.
1 1 0, 19.08, 49
1 1 3, 23.70, 23
0 0 6, 28.09, 55
2 1 1, 29.70, 56
1 2 2, 30.82, 55
3 0 0, 33.36, 94
1 1 6, 34.17, 100
2 1 4, 34.96, 34
0 3 6, 44.15, 33
4 -2 6, 48.50, 35

=====

Entry 8:
Theoretical PXRD pattern of PmSb3Te6 for a wavelength of 1.5418 Å, from the PBE geometry in Alexandria.

Atomic structure:
a = 13.0525 Å, b = 4.3105 Å, c = 13.1761 Å
α = 90.00°, β = 109.23°, γ = 90.00°
Space group P2_1/m (No. 11)
Unique sites:
1 Pm 0.1947 0.2500 0.0405 (multiplicity 2)
2 Sb 0.0438 0.7500 0.2981 (multiplicity 2)
3 Sb 0.3431 0.2500 0.4428 (multiplicity 2)
4 Sb 0.3943 0.7500 0.8528 (multiplicity 2)
5 Te 0.0265 0.7500 0.8945 (multiplicity 2)
6 Te 0.1242 0.2500 0.4657 (multiplicity 2)
7 Te 0.2333 0.2500 0.8019 (multiplicity 2)
8 Te 0.2405 0.7500 0.2418 (multiplicity 2)
9 Te 0.3943 0.7500 0.0726 (multiplicity 2)
10 Te 0.4241 0.7500 0.6028 (multiplicity 2)

Top 10 peaks for 2θ = 10–90°, by angle:
h k l, 2θ (°), Rel. int.
2 1 0, 25.21, 29
1 1 2, 27.48, 100
4 0 -2, 27.76, 53
0 1 3, 29.90, 72
3 1 0, 30.05, 31
3 1 -4, 36.47, 57
4 1 1, 38.49, 28
1 0 5, 39.23, 27
4 1 -4, 39.68, 32
0 2 0, 41.91, 48

=====

Entry 9:
Theoretical PXRD pattern of Pm4Sb2Te for a wavelength of 1.5418 Å, from the PBE geometry in Alexandria.

Atomic structure:
a = 9.4082 Å, b = 9.4082 Å, c = 9.4493 Å
α = 90.00°, β = 90.00°, γ = 90.00°
Space group I-42d (No. 122)
Unique sites:
1 Pm 0.0724 0.1793 0.3057 (multiplicity 16)
2 Sb 0.1249 0.2500 0.6250 (multiplicity 8)
3 Te 0.0000 0.0000 0.0000 (multiplicity 4)

Top 10 peaks for 2θ = 10–90°, by angle:
h k l, 2θ (°), Rel. int.
1 0 3, 29.92, 51
3 1 0, 30.03, 100
3 1 2, 35.66, 99
3 2 3, 45.13, 14
4 2 2, 47.30, 16
4 1 3, 49.35, 23
1 1 6, 60.44, 12
6 1 1, 60.65, 26
4 1 5, 64.00, 14
5 5 2, 74.02, 13

=====

Entry 10:
Theoretical PXRD pattern of Pm5Sb2Te4 for a wavelength of 1.5418 Å, from the PBE geometry in Alexandria.

Atomic structure:
a = 4.5858 Å, b = 4.5858 Å, c = 70.5049 Å
α = 90.00°, β = 90.00°, γ = 120.00°
Space group R-3m (No. 166, hexagonal axes)
Unique sites:
1 Pm 0.0000 0.0000 0.0000 (multiplicity 3)
2 Pm 0.0000 0.0000 0.1183 (multiplicity 6)
3 Pm 0.0000 0.0000 0.2833 (multiplicity 6)
4 Sb 0.0000 0.0000 0.3589 (multiplicity 6)
5 Te 0.0000 0.0000 0.0758 (multiplicity 6)
6 Te 0.0000 0.0000 0.1942 (multiplicity 6)

Top 10 peaks for 2θ = 10–90°, by angle:
h k l, 2θ (°), Rel. int.
1 0 1, 22.42, 41
1 0 10, 25.75, 29
0 1 11, 26.40, 83
0 1 14, 28.63, 52
0 1 17, 31.18, 33
1 0 25, 39.18, 75
1 1 0, 39.29, 100
0 2 25, 56.69, 25
1 1 42, 69.38, 22
3 0 0, 71.19, 43

=====

Entry 11:
Theoretical PXRD pattern of PmTh2Sb3 for a wavelength of 1.5418 Å, from the PBE geometry in Alexandria.

Atomic structure:
a = 4.4928 Å, b = 6.3643 Å, c = 13.5353 Å
α = 90.00°, β = 90.00°, γ = 90.00°
Space group Immm (No. 71)
Unique sites:
1 Pm 0.0000 0.0000 0.0000 (multiplicity 2)
2 Th 0.0000 0.0000 0.3338 (multiplicity 4)
3 Sb 0.0000 0.5000 0.0000 (multiplicity 2)
4 Sb 0.0000 0.5000 0.3338 (multiplicity 4)

Top 10 peaks for 2θ = 10–90°, by angle:
h k l, 2θ (°), Rel. int.
1 1 0, 24.21, 11
1 0 3, 28.03, 100
1 2 3, 40.04, 65
2 0 0, 40.14, 13
0 2 6, 49.53, 14
2 2 0, 49.68, 14
2 0 6, 57.94, 13
2 2 6, 65.59, 24
1 2 9, 72.68, 14
3 2 3, 72.87, 13

=====

Entry 12:
Theoretical PXRD pattern of PmTh2Sb3 for a wavelength of 1.5418 Å, from the PBE geometry in Alexandria.

Atomic structure:
a = 17.2419 Å, b = 4.4777 Å, c = 10.9221 Å
α = 90.00°, β = 108.11°, γ = 90.00°
Space group C2/m (No. 12)
Unique sites:
1 Pm 0.0000 0.0000 0.0000 (multiplicity 2)
2 Pm 0.0000 0.5000 0.5000 (multiplicity 2)
3 Th 0.1663 0.0000 0.8323 (multiplicity 4)
4 Th 0.1661 0.5000 0.3320 (multiplicity 4)
5 Sb 0.0279 0.0000 0.3057 (multiplicity 4)
6 Sb 0.1390 0.5000 0.0274 (multiplicity 4)
7 Sb 0.1944 0.5000 0.6385 (multiplicity 4)

Top 10 peaks for 2θ = 10–90°, by angle:
h k l, 2θ (°), Rel. int.
2 0 2, 22.94, 34
4 0 1, 25.73, 31
6 0 0, 32.79, 100
3 1 3, 40.30, 44
8 0 -1, 42.23, 8
8 0 -4, 47.22, 9
8 0 2, 52.89, 26
11 1 -1, 63.78, 23
8 2 2, 68.53, 24
14 0 -4, 78.51, 8